# 1
Theoretical powder diffractogram of Ga2SnCl8 for Cu Kα (λ = 1.5418 Å), from the PBE geometry in Alexandria.
Neutral-atom scattering factors, no anomalous dispersion.

Structural model:
Lattice parameters (Å, degrees): 10.294 10.294 12.703 121.89 121.89 42.14
Positions (direct):
1 Ga 0.128 0.674 0.837
2 Ga 0.326 0.872 0.663
3 Ga 0.674 0.128 0.337
4 Ga 0.872 0.326 0.163
5 Sn 0.430 0.570 0.250
6 Sn 0.570 0.430 0.750
7 Cl 0.101 0.165 0.757
8 Cl 0.117 0.639 0.987
9 Cl 0.165 0.101 0.257
10 Cl 0.256 0.668 0.578
11 Cl 0.300 0.381 0.702
12 Cl 0.332 0.744 0.922
13 Cl 0.361 0.883 0.513
14 Cl 0.381 0.300 0.202
15 Cl 0.619 0.700 0.798
16 Cl 0.639 0.117 0.487
17 Cl 0.668 0.256 0.078
18 Cl 0.700 0.619 0.298
19 Cl 0.744 0.332 0.422
20 Cl 0.835 0.899 0.743
21 Cl 0.883 0.361 0.013
22 Cl 0.899 0.835 0.243

Largest 6 diffraction maxima, in order of rising 2θ, 5 to 70 degrees two-theta:
2theta, intensity
11.17, 100
13.20, 33
16.93, 44
17.33, 53
18.35, 41
27.94, 56

---

# 2
Theoretical powder diffractogram of SrTlGa2Cl8 for Cu Kα (λ = 1.5418 Å), from the PBE geometry in Alexandria.
Neutral-atom scattering factors, no anomalous dispersion.

Structural model:
Lattice parameters (Å, degrees): 6.757 6.757 9.880 90.00 90.00 120.00
Positions (direct):
1 Sr 0.000 0.000 0.000
2 Tl 0.000 0.000 0.500
3 Ga 0.333 0.667 0.261
4 Ga 0.667 0.333 0.739
5 Cl 0.006 0.333 0.191
6 Cl 0.327 0.994 0.191
7 Cl 0.333 0.327 0.809
8 Cl 0.333 0.667 0.488
9 Cl 0.667 0.333 0.512
10 Cl 0.667 0.673 0.191
11 Cl 0.673 0.006 0.809
12 Cl 0.994 0.667 0.809

Largest 6 diffraction maxima, in order of rising 2θ, 5 to 70 degrees two-theta:
2theta, intensity
17.62, 44
23.57, 100
26.38, 58
27.91, 56
32.10, 45
45.49, 45

---

# 3
Theoretical powder diffractogram of SrUGa2Cl8 for Cu Kα (λ = 1.5418 Å), from the PBE geometry in Alexandria.
Neutral-atom scattering factors, no anomalous dispersion.

Structural model:
Lattice parameters (Å, degrees): 6.836 6.911 8.709 90.00 90.27 92.84
Positions (direct):
1 Sr 0.000 0.000 0.000
2 U 0.000 0.000 0.500
3 Ga 0.499 0.500 0.768
4 Ga 0.501 0.500 0.232
5 Cl 0.210 0.854 0.730
6 Cl 0.211 0.856 0.272
7 Cl 0.224 0.309 0.498
8 Cl 0.276 0.332 0.000
9 Cl 0.724 0.668 0.000
10 Cl 0.776 0.691 0.502
11 Cl 0.789 0.144 0.728
12 Cl 0.790 0.146 0.270

Largest 6 diffraction maxima, in order of rising 2θ, 5 to 70 degrees two-theta:
2theta, intensity
16.41, 44
17.81, 100
18.73, 76
24.18, 68
27.21, 44
44.54, 38

---

# 4
Theoretical powder diffractogram of TbGa3Cl6 for Cu Kα (λ = 1.5418 Å), from the PBE geometry in Alexandria.
Neutral-atom scattering factors, no anomalous dispersion.

Structural model:
Lattice parameters (Å, degrees): 8.576 8.576 8.576 92.81 92.81 92.81
Positions (direct):
1 Tb 0.000 0.000 0.000
2 Tb 0.500 0.500 0.500
3 Ga 0.083 0.417 0.750
4 Ga 0.250 0.917 0.583
5 Ga 0.417 0.750 0.083
6 Ga 0.583 0.250 0.917
7 Ga 0.750 0.083 0.417
8 Ga 0.917 0.583 0.250
9 Cl 0.049 0.699 0.943
10 Cl 0.057 0.951 0.301
11 Cl 0.199 0.549 0.443
12 Cl 0.301 0.057 0.951
13 Cl 0.443 0.199 0.549
14 Cl 0.451 0.557 0.801
15 Cl 0.549 0.443 0.199
16 Cl 0.557 0.801 0.451
17 Cl 0.699 0.943 0.049
18 Cl 0.801 0.451 0.557
19 Cl 0.943 0.049 0.699
20 Cl 0.951 0.301 0.057

Largest 6 diffraction maxima, in order of rising 2θ, 5 to 70 degrees two-theta:
2theta, intensity
15.02, 100
20.77, 65
24.83, 76
32.59, 43
33.64, 54
34.62, 80

---

# 5
Theoretical powder diffractogram of GaTeCl2 for Cu Kα (λ = 1.5418 Å), from the PBE geometry in Alexandria.
Neutral-atom scattering factors, no anomalous dispersion.

Structural model:
Lattice parameters (Å, degrees): 6.598 5.654 12.927 90.00 90.00 90.00
Positions (direct):
1 Ga 0.250 0.000 0.061
2 Ga 0.250 0.500 0.439
3 Ga 0.750 0.000 0.939
4 Ga 0.750 0.500 0.561
5 Te 0.168 0.250 0.250
6 Te 0.332 0.750 0.250
7 Te 0.668 0.250 0.750
8 Te 0.832 0.750 0.750
9 Cl 0.086 0.239 0.944
10 Cl 0.086 0.261 0.556
11 Cl 0.414 0.739 0.556
12 Cl 0.414 0.761 0.944
13 Cl 0.586 0.239 0.056
14 Cl 0.586 0.261 0.444
15 Cl 0.914 0.739 0.444
16 Cl 0.914 0.761 0.056

Largest 6 diffraction maxima, in order of rising 2θ, 5 to 70 degrees two-theta:
2theta, intensity
15.08, 100
17.12, 27
29.37, 37
31.39, 33
40.54, 48
44.47, 17

---

# 6
Theoretical powder diffractogram of GaTeCl3 for Cu Kα (λ = 1.5418 Å), from the PBE geometry in Alexandria.
Neutral-atom scattering factors, no anomalous dispersion.

Structural model:
Lattice parameters (Å, degrees): 5.524 5.524 5.524 90.00 90.00 90.00
Positions (direct):
1 Ga 0.000 0.000 0.000
2 Te 0.500 0.500 0.500
3 Cl 0.000 0.500 0.500
4 Cl 0.500 0.000 0.500
5 Cl 0.500 0.500 0.000

Largest 6 diffraction maxima, in order of rising 2θ, 5 to 70 degrees two-theta:
2theta, intensity
16.05, 36
22.77, 100
32.42, 75
39.98, 47
46.50, 51
62.96, 25